1.
For TlV2SbO8, a cell relaxed with GGA+U gives the simulated X-ray diffraction stick pattern in this record (Cu Kα X-rays).
Lines closer than 0.1° are merged.

The 8 most intense peaks (2θ from 10° to 90°), in order of falling intensity:
2θ/deg, intensity
25.5, 1000
28.0, 606
29.9, 535
18.6, 424
31.6, 423
20.7, 364
19.5, 330
33.9, 278

Structural model:
```
TlV2SbO8
1.0
15.283 0.000 0.000
0.000 5.654 0.000
0.000 0.000 8.962
Tl V Sb O
4 8 4 32
direct
0.112 0.250 0.067 Tl
0.388 0.750 0.567 Tl
0.612 0.250 0.433 Tl
0.888 0.750 0.933 Tl
0.018 0.750 0.295 V
0.217 0.250 0.475 V
0.283 0.750 0.975 V
0.482 0.250 0.795 V
0.518 0.750 0.205 V
0.717 0.250 0.025 V
0.783 0.750 0.525 V
0.982 0.250 0.705 V
0.127 0.750 0.665 Sb
0.373 0.250 0.165 Sb
0.627 0.750 0.835 Sb
0.873 0.250 0.335 Sb
0.048 0.504 0.748 O
0.048 0.996 0.748 O
0.057 0.750 0.478 O
0.098 0.750 0.172 O
0.131 0.250 0.366 O
0.186 0.750 0.865 O
0.213 0.509 0.590 O
0.213 0.991 0.590 O
0.287 0.009 0.090 O
0.287 0.491 0.090 O
0.314 0.250 0.365 O
0.369 0.750 0.866 O
0.402 0.250 0.672 O
0.443 0.250 0.978 O
0.452 0.004 0.248 O
0.452 0.496 0.248 O
0.548 0.504 0.752 O
0.548 0.996 0.752 O
0.557 0.750 0.022 O
0.598 0.750 0.328 O
0.631 0.250 0.134 O
0.686 0.750 0.635 O
0.713 0.509 0.910 O
0.713 0.991 0.910 O
0.787 0.009 0.410 O
0.787 0.491 0.410 O
0.814 0.250 0.135 O
0.869 0.750 0.634 O
0.902 0.250 0.828 O
0.943 0.250 0.522 O
0.952 0.004 0.252 O
0.952 0.496 0.252 O
```


2.
For TlV2Sb2O7, a cell relaxed with GGA+U gives the simulated X-ray diffraction stick pattern in this record (Cu Kα X-rays).
Lines closer than 0.1° are merged.

The 8 most intense peaks (2θ from 10° to 90°), in order of falling intensity:
2θ/deg, intensity
25.1, 1000
22.6, 855
30.6, 792
45.1, 485
51.2, 285
40.0, 225
49.9, 190
38.4, 186

Structural model:
```
TlV2Sb2O7
1.0
2.921 1.686 8.321
-2.921 1.686 8.321
0.000 -3.373 8.321
Tl V Sb O
1 2 2 7
direct
0.000 0.000 0.000 Tl
0.426 0.426 0.426 V
0.574 0.574 0.574 V
0.220 0.220 0.220 Sb
0.780 0.780 0.780 Sb
0.060 0.504 0.650 O
0.350 0.496 0.940 O
0.496 0.940 0.350 O
0.500 0.500 0.500 O
0.504 0.650 0.060 O
0.650 0.060 0.504 O
0.940 0.350 0.496 O
```